# 1
The following is a theoretical powder diffractogram of ZnSiNi2. It was derived from a crystal structure in the Materials Project, relaxed with PBE, using Cu Kα X-rays.
Intensities are scaled so that the largest is 100.

Top 10 peaks for 10 to 90 degrees two-theta, by intensity:
- 2θ 44.09, I 100.0
- 2θ 46.95, I 46.3
- 2θ 85.21, I 26.5
- 2θ 35.85, I 20.1
- 2θ 68.57, I 13.8
- 2θ 79.02, I 11.3
- 2θ 66.06, I 8.9
- 2θ 43.68, I 8.5
- 2θ 85.85, I 6.8
- 2θ 59.48, I 6.8

Structure:
a = 2.7369 Å, b = 2.7369 Å, c = 6.2164 Å
α = 90.00°, β = 90.00°, γ = 90.00°
Atoms (fractional coordinates):
Zn: 0.0000 0.0000 0.0000
Si: 0.0000 0.0000 0.5000
Ni: 0.5000 0.5000 0.2857
Ni: 0.5000 0.5000 0.7143

# 2
The following is a theoretical powder diffractogram of PuU4N5. It was derived from a crystal structure in the Materials Project, relaxed with PBE, using Cu Kα X-rays.
Intensities are scaled so that the largest is 100.

Top 10 peaks for 10 to 90 degrees two-theta, by intensity:
- 2θ 31.83, I 100.0
- 2θ 36.92, I 64.7
- 2θ 53.21, I 45.6
- 2θ 63.40, I 30.6
- 2θ 66.53, I 15.8
- 2θ 63.27, I 15.4
- 2θ 87.25, I 14.0
- 2θ 87.36, I 7.0
- 2θ 78.67, I 5.1
- 2θ 78.44, I 2.5

Structure:
a = 12.4327 Å, b = 12.4327 Å, c = 12.4327 Å
α = 164.10°, β = 164.10°, γ = 22.57°
Atoms (fractional coordinates):
Pu: 0.0000 0.0000 0.0000
U: 0.2000 0.2000 0.0000
U: 0.4007 0.4007 0.0000
U: 0.5993 0.5993 0.0000
U: 0.8000 0.8000 0.0000
N: 0.1007 0.1007 0.0000
N: 0.3002 0.3002 0.0000
N: 0.5000 0.5000 0.0000
N: 0.6998 0.6998 0.0000
N: 0.8993 0.8993 0.0000

# 3
The following is a theoretical powder diffractogram of CsSm2CuSe4. It was derived from a crystal structure in the Materials Project, relaxed with PBE, using Cu Kα X-rays.
Intensities are scaled so that the largest is 100.

Top 10 peaks for 10 to 90 degrees two-theta, by intensity:
- 2θ 28.38, I 100.0
- 2θ 30.32, I 99.3
- 2θ 41.44, I 58.6
- 2θ 21.75, I 51.6
- 2θ 42.72, I 41.8
- 2θ 37.78, I 34.2
- 2θ 32.82, I 32.8
- 2θ 27.09, I 30.6
- 2θ 41.63, I 26.3
- 2θ 40.81, I 25.0

Structure:
a = 7.7319 Å, b = 7.7319 Å, c = 14.6799 Å
α = 90.00°, β = 90.00°, γ = 148.22°
Atoms (fractional coordinates):
Cs: 0.1068 0.8932 0.7500
Cs: 0.8932 0.1068 0.2500
Sm: 0.3659 0.6341 0.5620
Sm: 0.3659 0.6341 0.9380
Sm: 0.6341 0.3659 0.0620
Sm: 0.6341 0.3659 0.4380
Cu: 0.1658 0.8342 0.2500
Cu: 0.8342 0.1658 0.7500
Se: 0.0000 0.0000 0.0000
Se: 0.0000 0.0000 0.5000
Se: 0.2586 0.7414 0.1089
Se: 0.2586 0.7414 0.3911
Se: 0.4219 0.5781 0.7500
Se: 0.5781 0.4219 0.2500
Se: 0.7414 0.2586 0.6089
Se: 0.7414 0.2586 0.8911

# 4
The following is a theoretical powder diffractogram of Nd7Pd3. It was derived from a crystal structure in the Materials Project, relaxed with PBE, using Cu Kα X-rays.
Intensities are scaled so that the largest is 100.

Top 10 peaks for 10 to 90 degrees two-theta, by intensity:
- 2θ 30.07, I 100.0
- 2θ 34.26, I 82.5
- 2θ 29.28, I 70.0
- 2θ 33.38, I 59.6
- 2θ 30.17, I 49.8
- 2θ 35.28, I 46.7
- 2θ 53.73, I 32.9
- 2θ 33.53, I 29.6
- 2θ 54.04, I 28.9
- 2θ 52.40, I 27.0

Structure:
a = 10.1753 Å, b = 10.1753 Å, c = 6.5013 Å
α = 90.00°, β = 90.00°, γ = 119.65°
Atoms (fractional coordinates):
Nd: 0.0383 0.5766 0.5009
Nd: 0.0384 0.9616 0.5000
Nd: 0.1665 0.8335 0.9954
Nd: 0.2469 0.3734 0.7018
Nd: 0.3734 0.2469 0.2018
Nd: 0.3733 0.6267 0.2010
Nd: 0.4234 0.9617 0.5009
Nd: 0.5766 0.0383 0.0009
Nd: 0.6267 0.3733 0.7010
Nd: 0.6266 0.7531 0.7018
Nd: 0.7531 0.6266 0.2018
Nd: 0.8335 0.1665 0.4954
Nd: 0.9616 0.0384 0.0000
Nd: 0.9617 0.4234 0.0009
Pd: 0.1222 0.3112 0.2556
Pd: 0.3112 0.1222 0.7556
Pd: 0.3109 0.6891 0.7555
Pd: 0.6891 0.3109 0.2555
Pd: 0.6888 0.8778 0.2556
Pd: 0.8778 0.6888 0.7556

# 5
The following is a theoretical powder diffractogram of La2ZnHg. It was derived from a crystal structure in the Materials Project, relaxed with PBE, using Cu Kα X-rays.
Intensities are scaled so that the largest is 100.

Top 10 peaks for 10 to 90 degrees two-theta, by intensity:
- 2θ 32.90, I 100.0
- 2θ 58.75, I 37.9
- 2θ 47.22, I 18.3
- 2θ 78.58, I 16.3
- 2θ 19.97, I 12.1
- 2θ 69.00, I 11.7
- 2θ 38.79, I 7.2
- 2θ 87.85, I 4.2
- 2θ 51.76, I 3.3
- 2θ 72.65, I 2.6

Structure:
a = 5.4442 Å, b = 5.4442 Å, c = 5.4442 Å
α = 60.00°, β = 60.00°, γ = 60.00°
Atoms (fractional coordinates):
La: 0.2500 0.2500 0.2500
La: 0.7500 0.7500 0.7500
Zn: 0.0000 0.0000 0.0000
Hg: 0.5000 0.5000 0.5000

# 6
The following is a theoretical powder diffractogram of TiPt3. It was derived from a crystal structure in the Materials Project, relaxed with PBE, using Cu Kα X-rays.
Intensities are scaled so that the largest is 100.

Top 10 peaks for 10 to 90 degrees two-theta, by intensity:
- 2θ 39.49, I 100.0
- 2θ 45.93, I 49.0
- 2θ 80.63, I 38.4
- 2θ 66.97, I 31.9
- 2θ 22.50, I 16.5
- 2θ 32.03, I 14.0
- 2θ 85.02, I 11.4
- 2θ 51.72, I 7.8
- 2θ 57.09, I 5.9
- 2θ 71.64, I 3.9

Structure:
a = 3.9520 Å, b = 3.9520 Å, c = 3.9520 Å
α = 90.00°, β = 90.00°, γ = 90.00°
Atoms (fractional coordinates):
Ti: 0.0000 0.0000 0.0000
Pt: 0.0000 0.5000 0.5000
Pt: 0.5000 0.0000 0.5000
Pt: 0.5000 0.5000 0.0000

# 7
The following is a theoretical powder diffractogram of RbEuO2. It was derived from a crystal structure in the Materials Project, relaxed with PBE, using Cu Kα X-rays.
Intensities are scaled so that the largest is 100.

Top 10 peaks for 10 to 90 degrees two-theta, by intensity:
- 2θ 34.00, I 100.0
- 2θ 29.99, I 82.8
- 2θ 27.27, I 38.9
- 2θ 47.09, I 34.9
- 2θ 50.55, I 32.3
- 2θ 58.39, I 28.7
- 2θ 13.54, I 26.7
- 2θ 55.28, I 19.2
- 2θ 62.33, I 16.3
- 2θ 84.27, I 14.0

Structure:
a = 6.8637 Å, b = 6.8637 Å, c = 6.8637 Å
α = 30.50°, β = 30.50°, γ = 30.50°
Atoms (fractional coordinates):
Rb: 0.0000 0.0000 0.0000
Eu: 0.5000 0.5000 0.5000
O: 0.2266 0.2266 0.2266
O: 0.7734 0.7734 0.7734